# Sr2CaV2Si4O14
Simulated powder X-ray diffraction pattern, CuKα. Input: the PBE+U geometry in Alexandria.

Cell and atoms:
a b c (Å): 5.859 7.336 7.837
angles (deg): 85.77 73.23 75.27
Fractional coordinates of all 23 atoms:
Sr 0.000 0.000 0.000
Sr 0.303 0.473 0.099
Ca 0.118 0.735 0.517
V 0.288 0.118 0.370
V 0.993 0.328 0.675
Si 0.553 0.191 0.742
Si 0.581 0.745 0.735
Si 0.658 0.716 0.322
Si 0.751 0.289 0.329
O 0.045 0.202 0.233
O 0.128 0.055 0.602
O 0.188 0.406 0.452
O 0.259 0.275 0.822
O 0.338 0.730 0.888
O 0.422 0.850 0.266
O 0.542 0.700 0.542
O 0.612 0.161 0.254
O 0.634 0.960 0.712
O 0.677 0.503 0.248
O 0.687 0.288 0.548
O 0.699 0.249 0.871
O 0.844 0.610 0.748
O 0.927 0.758 0.262

Main lines, sorted by position (5 to 70 degrees two-theta):
- (1 1 1), 18.8 deg, d 4.711, intensity 48
- (1 0 2), 24.8 deg, d 3.594, intensity 41
- (1 1 2), 25.9 deg, d 3.438, intensity 57
- (0 2 -1), 27.8 deg, d 3.204, intensity 100
- (1 -1 2), 29.6 deg, d 3.016, intensity 28
- (1 2 -1), 30.9 deg, d 2.890, intensity 77
- (2 0 1), 31.7 deg, d 2.823, intensity 37
- (0 2 2), 34.8 deg, d 2.578, intensity 37
- (2 2 2), 38.2 deg, d 2.357, intensity 45
- (1 4 1), 50.3 deg, d 1.813, intensity 33